The following is a theoretical XRD peak list of VFe3H4. It was derived from a structure optimized by DFT (GGA-PBE), using Cu Kα, 1.54184 Å.
Intensities are scaled so that the largest is 100.

Atomic structure:
abc: 5.251 7.460 2.643
angles: 90.00 90.00 90.00
Space group Cmmm (No. 65)
Asymmetric unit:
V (0.000, 0.000, 0.000) x2
Fe (0.000, 0.500, 0.000) x2
Fe (0.250, 0.250, 0.500) x4
H (0.000, 0.259, 0.000) x4
H (0.235, 0.500, 0.500) x4

Largest 5 diffraction maxima, most intense first, 2θ = 5–70°:
2θ (°), I_rel
48.9, 100
41.9, 100
42.1, 99
20.7, 1
40.1, 1